[1]
# Pa4PSe2S
Calculated PXRD pattern, copper Kα. Input: a cell relaxed with GGA-PBE.
Neutral-atom scattering factors, no anomalous dispersion.

Top 6 peaks for 2θ from 10° to 90°, by intensity:
index  d_spacing  2θ (°)  I (rel.)
2 0 -2  2.825  31.7  1000
1 1 -1  3.259  27.4  349
1 1 -3  2.059  44.0  255
3 1 -1  1.939  46.8  233
0 0 2  3.404  26.2  180
2 0 0  3.141  28.4  159

Cell and atoms:
```
Pa4PSe2S
1.0
6.658 0.000 0.000
0.000 3.992 0.000
-2.387 0.000 6.809
Pa P Se S
4 1 2 1
direct
0.240 0.000 0.229
0.254 0.500 0.769
0.746 0.500 0.231
0.760 0.000 0.771
0.500 0.000 0.000
0.000 0.000 0.500
0.500 0.500 0.500
0.000 0.500 0.000
```

---

[2]
# Pa4Sb2PSe
Calculated PXRD pattern, copper Kα. Input: a cell relaxed with GGA-PBE.
Neutral-atom scattering factors, no anomalous dispersion.

Top 6 peaks for 2θ from 10° to 90°, by intensity:
index  d_spacing  2θ (°)  I (rel.)
1 1 1  2.961  30.2  1000
3 1 -1  2.087  43.4  263
1 1 -3  2.101  43.1  211
1 1 -1  3.405  26.2  183
2 2 -2  1.702  53.9  133
0 2 0  2.081  43.5  133

Cell and atoms:
```
Pa4Sb2PSe
1.0
7.236 0.000 0.000
0.000 4.162 0.000
-2.394 0.000 6.897
Pa Sb P Se
4 2 1 1
direct
0.229 0.000 0.213
0.252 0.500 0.782
0.748 0.500 0.218
0.771 0.000 0.787
0.000 0.000 0.500
0.500 0.500 0.500
0.000 0.500 0.000
0.500 0.000 0.000
```

---

[3]
# ScPaP2
Calculated PXRD pattern, copper Kα. Input: a cell relaxed with GGA-PBE.
Neutral-atom scattering factors, no anomalous dispersion.

Top 6 peaks for 2θ from 10° to 90°, by intensity:
index  d_spacing  2θ (°)  I (rel.)
1 0 3  2.617  34.3  1000
1 0 1  3.192  28.0  741
0 0 2  6.463  13.7  725
1 0 2  2.935  30.5  571
1 0 5  2.034  44.6  417
1 1 0  1.902  47.8  374

Cell and atoms:
```
ScPaP2
1.0
3.803 0.000 0.000
-1.902 3.294 0.000
0.000 0.000 12.925
Sc Pa P
2 2 4
direct
0.000 0.000 0.000
0.000 0.000 0.500
0.333 0.667 0.250
0.667 0.333 0.750
0.333 0.667 0.616
0.333 0.667 0.884
0.667 0.333 0.116
0.667 0.333 0.384
```